No. 1
For BaLiMo, the GGA-PBE geometry in Alexandria gives the calculated powder X-ray diffraction pattern in this record (Cu Kα (weighted mean of Kα1 and Kα2)).
Lines closer than 0.1° are merged.

a b c (Å): 3.0325 3.0325 15.3988
angles (deg): 90.00 90.00 90.00
Space group I4mm (No. 107)
Unique sites:
Ba 0.0000 0.0000 0.0000 [2 per cell]
Li 0.0000 0.0000 0.2997 [2 per cell]
Mo 0.0000 0.0000 0.6763 [2 per cell]

Principal peaks in the range 2θ = 10–80°, sorted by position:
| (hkl) | d/Å | Position (°2θ) | I_rel |
| --- | --- | --- | --- |
| 0 0 2 | 7.699 | 11.49 | 64 |
| 0 0 4 | 3.850 | 23.10 | 25 |
| 1 0 1 | 2.975 | 30.03 | 38 |
| 1 0 3 | 2.611 | 34.35 | 100 |
| 0 0 6 | 2.566 | 34.96 | 23 |
| 1 1 0 | 2.144 | 42.14 | 28 |
| 1 0 7 | 1.781 | 51.31 | 14 |
| 1 1 6 | 1.646 | 55.87 | 23 |
| 1 0 9 | 1.490 | 62.31 | 15 |
| 2 1 3 | 1.311 | 72.02 | 23 |

---

No. 2
For BaLiMo2, the GGA-PBE geometry in Alexandria gives the calculated powder X-ray diffraction pattern in this record (Cu Kα (weighted mean of Kα1 and Kα2)).
Lines closer than 0.1° are merged.

a b c (Å): 3.3328 5.2746 10.3059
angles (deg): 90.00 90.00 90.00
Space group Cmm2 (No. 35)
Unique sites:
Ba 0.0000 0.0000 0.0000 [2 per cell]
Li 0.0000 0.5000 0.6799 [2 per cell]
Mo 0.0000 0.0000 0.4582 [2 per cell]
Mo 0.0000 0.5000 0.2851 [2 per cell]

Principal peaks in the range 2θ = 10–80°, sorted by position:
| (hkl) | d/Å | Position (°2θ) | I_rel |
| --- | --- | --- | --- |
| 0 0 2 | 5.153 | 17.21 | 39 |
| 1 1 0 | 2.817 | 31.76 | 12 |
| 0 2 0 | 2.637 | 33.99 | 35 |
| 0 0 4 | 2.576 | 34.82 | 17 |
| 1 1 2 | 2.472 | 36.34 | 100 |
| 1 1 3 | 2.179 | 41.45 | 15 |
| 1 1 4 | 1.901 | 47.84 | 18 |
| 0 2 4 | 1.843 | 49.45 | 13 |
| 1 1 5 | 1.664 | 55.22 | 13 |
| 1 3 2 | 1.489 | 62.37 | 20 |

---

Q: Number 2 is which compound?
A: BaLiMo2